No. 1
Starting from a cell relaxed with PBE, the PXRD pattern of La2Tb4Mg was computed for Cu Ka.
Intensities are scaled so that the largest is 100.

Largest 8 diffraction maxima, sorted by position, 10° ≤ 2θ ≤ 90°:
| 2θ (°) | d [Å] | Rel. int. | h k l |
| --- | --- | --- | --- |
| 15.4 | 5.763 | 21 | 0 0 2 |
| 28.0 | 3.186 | 100 | 1 1 1 |
| 31.1 | 2.879 | 43 | 0 0 4 |
| 35.8 | 2.510 | 49 | 1 1 3 |
| 41.6 | 2.172 | 69 | 2 0 2 |
| 48.1 | 1.893 | 18 | 1 1 5 |
| 63.2 | 1.470 | 20 | 3 1 1 |
| 64.9 | 1.437 | 18 | 2 2 4 |

Cell and atoms:
```
data_La2Tb4Mg
_space_group_name_H-M_alt 'P -4 2 m'
_space_group_IT_number 111
_cell_length_a 4.6882
_cell_length_b 4.6882
_cell_length_c 11.5269
_cell_angle_alpha 90.00
_cell_angle_beta 90.00
_cell_angle_gamma 90.00
loop_
_space_group_symop_operation_xyz
'x,y,z'
'y,-x,-z'
'-x,-y,z'
'-y,x,-z'
'x,-y,-z'
'y,x,z'
'-x,y,-z'
'-y,-x,z'
loop_
_atom_site_label
_atom_site_fract_x
_atom_site_fract_y
_atom_site_fract_z
La1 0.0000 0.5000 0.0000
Tb1 0.2452 0.2452 0.7332
Mg1 0.5000 0.5000 0.5000
```

No. 2
Starting from a cell relaxed with PBE, the PXRD pattern of La3Tb6Mg was computed for Cu Ka.
Intensities are scaled so that the largest is 100.

Largest 8 diffraction maxima, sorted by position, 10° ≤ 2θ ≤ 90°:
| 2θ (°) | d [Å] | Rel. int. | h k l |
| --- | --- | --- | --- |
| 29.7 | 3.005 | 68 | 0 0 9 |
| 30.2 | 2.955 | 100 | 3 -2 2 |
| 33.9 | 2.642 | 28 | 3 -2 5 |
| 37.8 | 2.383 | 66 | 2 1 7 |
| 47.7 | 1.908 | 20 | 3 -2 11 |
| 52.3 | 1.748 | 28 | 1 4 0 |
| 61.4 | 1.511 | 34 | 1 4 9 |
| 63.0 | 1.476 | 19 | 2 1 16 |

Cell and atoms:
```
data_La3Tb6Mg
_space_group_name_H-M_alt 'R -3'
_space_group_IT_number 148
_space_group_name_Hall '-R 3'
_cell_length_a 9.2504
_cell_length_b 9.2504
_cell_length_c 27.0329
_cell_angle_alpha 90.00
_cell_angle_beta 90.00
_cell_angle_gamma 120.00
loop_
_atom_site_label
_atom_site_fract_x
_atom_site_fract_y
_atom_site_fract_z
La1 0.0688 0.2450 0.1659
Tb1 0.0260 0.2187 0.6075
Tb2 0.0715 0.2560 0.7268
Mg1 0.0000 0.0000 0.0000
Mg2 0.0000 0.0000 0.5000
```

No. 3
Starting from a cell relaxed with PBE, the PXRD pattern of La7Tb12Mg was computed for Cu Ka.
Intensities are scaled so that the largest is 100.

Largest 8 diffraction maxima, sorted by position, 10° ≤ 2θ ≤ 90°:
| 2θ (°) | d [Å] | Rel. int. | h k l |
| --- | --- | --- | --- |
| 29.6 | 3.016 | 38 | 0 1 5 |
| 30.5 | 2.932 | 39 | 0 3 3 |
| 30.9 | 2.892 | 100 | 4 -3 1 |
| 31.9 | 2.807 | 51 | 3 -1 4 |
| 32.5 | 2.756 | 52 | 3 1 2 |
| 33.1 | 2.706 | 16 | 2 0 5 |
| 52.8 | 1.735 | 16 | 5 -4 6 |
| 54.0 | 1.699 | 13 | 2 5 0 |

Cell and atoms:
```
data_La7Tb12Mg
_space_group_name_H-M_alt 'R -3'
_space_group_IT_number 148
_space_group_name_Hall '-R 3'
_cell_length_a 12.2491
_cell_length_b 12.2491
_cell_length_c 15.7276
_cell_angle_alpha 90.00
_cell_angle_beta 90.00
_cell_angle_gamma 120.00
loop_
_atom_site_label
_atom_site_fract_x
_atom_site_fract_y
_atom_site_fract_z
La1 0.0000 0.0000 0.0000
La2 0.0104 0.4379 0.7209
Tb1 0.0483 0.1869 0.8008
Tb2 0.0709 0.5958 0.0824
Mg1 0.0000 0.0000 0.5000
```

No. 4
Starting from a cell relaxed with PBE, the PXRD pattern of La6Tb8Mg was computed for Cu Ka.
Intensities are scaled so that the largest is 100.

Largest 8 diffraction maxima, sorted by position, 10° ≤ 2θ ≤ 90°:
| 2θ (°) | d [Å] | Rel. int. | h k l |
| --- | --- | --- | --- |
| 27.8 | 3.209 | 17 | 0 0 2 |
| 28.3 | 3.149 | 25 | 2 1 0 |
| 29.8 | 2.994 | 11 | 0 1 2 |
| 31.7 | 2.827 | 100 | 2 1 1 |
| 33.6 | 2.669 | 19 | 2 -1 2 |
| 40.1 | 2.248 | 13 | 3 -2 2 |
| 50.2 | 1.818 | 17 | 1 4 0 |
| 60.6 | 1.529 | 13 | 6 -4 1 |

Cell and atoms:
```
data_La6Tb8Mg
_space_group_name_H-M_alt 'P -3'
_space_group_IT_number 147
_cell_length_a 9.6198
_cell_length_b 9.6198
_cell_length_c 6.4179
_cell_angle_alpha 90.00
_cell_angle_beta 90.00
_cell_angle_gamma 120.00
loop_
_space_group_symop_operation_xyz
'x,y,z'
'-x,-y,-z'
'-y,x-y,z'
'y,-x+y,-z'
'-x+y,-x,z'
'x-y,x,-z'
loop_
_atom_site_label
_atom_site_fract_x
_atom_site_fract_y
_atom_site_fract_z
La1 0.0877 0.4484 0.1861
Tb1 0.0411 0.2636 0.6877
Tb2 0.3333 0.6667 0.6647
Mg1 0.0000 0.0000 0.0000
```

No. 5
Starting from a cell relaxed with PBE, the PXRD pattern of La3Tb2Mg3 was computed for Cu Ka.
Intensities are scaled so that the largest is 100.

Largest 8 diffraction maxima, sorted by position, 10° ≤ 2θ ≤ 90°:
| 2θ (°) | d [Å] | Rel. int. | h k l |
| --- | --- | --- | --- |
| 23.4 | 3.802 | 16 | 1 0 1 |
| 24.9 | 3.570 | 24 | 0 1 5 |
| 31.1 | 2.876 | 23 | 0 0 8 |
| 31.6 | 2.829 | 27 | 0 2 0 |
| 32.1 | 2.787 | 100 | 1 1 4 |
| 44.9 | 2.017 | 17 | 0 2 8 |
| 56.0 | 1.643 | 14 | 1 1 12 |
| 56.6 | 1.625 | 20 | 1 3 4 |

Cell and atoms:
```
data_La3Tb2Mg3
_space_group_name_H-M_alt 'I m m m'
_space_group_IT_number 71
_space_group_name_Hall '-I 2 2'
_cell_length_a 3.8549
_cell_length_b 5.6580
_cell_length_c 23.0048
_cell_angle_alpha 90.00
_cell_angle_beta 90.00
_cell_angle_gamma 90.00
loop_
_atom_site_label
_atom_site_fract_x
_atom_site_fract_y
_atom_site_fract_z
La1 0.0000 0.0000 0.0000
La2 0.0000 0.5000 0.1258
Tb1 0.0000 0.0000 0.2360
Mg1 0.0000 0.0000 0.5000
Mg2 0.0000 0.5000 0.3790
```

No. 6
Starting from a cell relaxed with PBE, the PXRD pattern of La4Tb2Mg was computed for Cu Ka.
Intensities are scaled so that the largest is 100.

Largest 8 diffraction maxima, sorted by position, 10° ≤ 2θ ≤ 90°:
| 2θ (°) | d [Å] | Rel. int. | h k l |
| --- | --- | --- | --- |
| 24.9 | 3.578 | 28 | 0 2 2 |
| 30.4 | 2.944 | 35 | 3 1 0 |
| 31.5 | 2.843 | 100 | 2 2 -2 |
| 31.6 | 2.828 | 39 | 0 4 0 |
| 31.9 | 2.806 | 35 | 1 1 3 |
| 32.1 | 2.787 | 26 | 3 1 1 |
| 32.3 | 2.772 | 48 | 1 3 2 |
| 33.1 | 2.706 | 35 | 0 4 1 |

Cell and atoms:
```
data_La4Tb2Mg
_space_group_name_H-M_alt 'C 1 2/c 1'
_space_group_IT_number 15
_cell_length_a 9.1501
_cell_length_b 11.3230
_cell_length_c 9.2364
_cell_angle_alpha 90.00
_cell_angle_beta 91.35
_cell_angle_gamma 90.00
loop_
_space_group_symop_operation_xyz
'x,y,z'
'-x,-y,-z'
'-x,y,-z+1/2'
'x,-y,z+1/2'
'x+1/2,y+1/2,z'
'-x+1/2,-y+1/2,-z'
'-x+1/2,y+1/2,-z+1/2'
'x+1/2,-y+1/2,z+1/2'
loop_
_atom_site_label
_atom_site_fract_x
_atom_site_fract_y
_atom_site_fract_z
La1 0.1091 0.1888 0.4081
La2 0.2042 0.0344 0.7218
Tb1 0.0000 0.5000 0.0000
Tb2 0.2500 0.2500 0.0000
Mg1 0.0000 0.2977 0.7500
```

No. 7
Starting from a cell relaxed with PBE, the PXRD pattern of La2Tb3Mg was computed for Cu Ka.
Intensities are scaled so that the largest is 100.

Largest 8 diffraction maxima, sorted by position, 10° ≤ 2θ ≤ 90°:
| 2θ (°) | d [Å] | Rel. int. | h k l |
| --- | --- | --- | --- |
| 27.9 | 3.199 | 85 | 3 1 0 |
| 28.0 | 3.182 | 79 | 1 3 1 |
| 30.1 | 2.971 | 53 | 3 1 -1 |
| 30.3 | 2.954 | 75 | 0 4 0 |
| 30.6 | 2.922 | 75 | 0 2 2 |
| 33.2 | 2.701 | 51 | 2 0 2 |
| 34.6 | 2.594 | 100 | 2 2 -2 |
| 35.3 | 2.541 | 83 | 3 3 0 |

Cell and atoms:
```
data_La2Tb3Mg
_space_group_name_H-M_alt 'C 1 2/c 1'
_space_group_IT_number 15
_cell_length_a 9.9973
_cell_length_b 11.8173
_cell_length_c 6.7428
_cell_angle_alpha 90.00
_cell_angle_beta 94.18
_cell_angle_gamma 90.00
loop_
_space_group_symop_operation_xyz
'x,y,z'
'-x,-y,-z'
'-x,y,-z+1/2'
'x,-y,z+1/2'
'x+1/2,y+1/2,z'
'-x+1/2,-y+1/2,-z'
'-x+1/2,y+1/2,-z+1/2'
'x+1/2,-y+1/2,z+1/2'
loop_
_atom_site_label
_atom_site_fract_x
_atom_site_fract_y
_atom_site_fract_z
La1 0.1618 0.2353 0.2085
Tb1 0.0000 0.0484 0.7500
Tb2 0.1872 0.4842 0.4893
Mg1 0.0000 0.3186 0.7500
```

No. 8
Starting from a cell relaxed with PBE, the PXRD pattern of La5Tb2Mg was computed for Cu Ka.
Intensities are scaled so that the largest is 100.

Largest 8 diffraction maxima, sorted by position, 10° ≤ 2θ ≤ 90°:
| 2θ (°) | d [Å] | Rel. int. | h k l |
| --- | --- | --- | --- |
| 14.9 | 5.933 | 9 | 1 1 -1 |
| 30.1 | 2.968 | 100 | 2 2 0 |
| 34.6 | 2.590 | 34 | 0 0 2 |
| 35.5 | 2.532 | 16 | 0 4 0 |
| 50.4 | 1.810 | 24 | 0 4 2 |
| 59.2 | 1.560 | 15 | 2 2 2 |
| 59.4 | 1.557 | 15 | 6 2 -4 |
| 60.4 | 1.533 | 14 | 2 6 0 |

Cell and atoms:
```
data_La5Tb2Mg
_space_group_name_H-M_alt 'C 1 m 1'
_space_group_IT_number 8
_cell_length_a 10.3599
_cell_length_b 10.1267
_cell_length_c 7.3121
_cell_angle_alpha 90.00
_cell_angle_beta 134.89
_cell_angle_gamma 90.00
loop_
_space_group_symop_operation_xyz
'x,y,z'
'x,-y,z'
'x+1/2,y+1/2,z'
'x+1/2,-y+1/2,z'
loop_
_atom_site_label
_atom_site_fract_x
_atom_site_fract_y
_atom_site_fract_z
La1 0.0000 0.0000 0.0000
La2 0.2502 0.2500 0.0005
La3 0.2505 0.2496 0.5003
Tb1 0.0003 0.0000 0.5006
Tb2 0.0006 0.5000 0.0012
Mg1 0.0008 0.5000 0.5007
```

No. 9
Starting from a cell relaxed with PBE, the PXRD pattern of LaTb3Mg was computed for Cu Ka.
Intensities are scaled so that the largest is 100.

Largest 8 diffraction maxima, sorted by position, 10° ≤ 2θ ≤ 90°:
| 2θ (°) | d [Å] | Rel. int. | h k l |
| --- | --- | --- | --- |
| 25.6 | 3.479 | 16 | 1 0 -1 |
| 30.3 | 2.951 | 37 | 0 1 4 |
| 31.3 | 2.859 | 58 | 0 2 -2 |
| 31.9 | 2.806 | 100 | 1 2 1 |
| 32.9 | 2.726 | 90 | 1 0 3 |
| 48.7 | 1.869 | 17 | 2 1 0 |
| 55.4 | 1.657 | 19 | 1 4 -1 |
| 57.3 | 1.608 | 18 | 1 -2 5 |

Cell and atoms:
```
data_LaTb3Mg
_space_group_name_H-M_alt 'P -1'
_space_group_IT_number 2
_cell_length_a 3.7389
_cell_length_b 6.8728
_cell_length_c 12.8103
_cell_angle_alpha 86.47
_cell_angle_beta 89.97
_cell_angle_gamma 74.23
loop_
_space_group_symop_operation_xyz
'x,y,z'
'-x,-y,-z'
loop_
_atom_site_label
_atom_site_fract_x
_atom_site_fract_y
_atom_site_fract_z
La1 0.2353 0.0285 0.2563
Tb1 0.0361 0.4269 0.6873
Tb2 0.1493 0.2021 0.9455
Tb3 0.3674 0.7661 0.5241
Mg1 0.4481 0.6032 0.8756
```

No. 10
Starting from a cell relaxed with PBE, the PXRD pattern of LaTb2Mg3 was computed for Cu Ka.
Intensities are scaled so that the largest is 100.

Largest 8 diffraction maxima, sorted by position, 10° ≤ 2θ ≤ 90°:
| 2θ (°) | d [Å] | Rel. int. | h k l |
| --- | --- | --- | --- |
| 23.0 | 3.871 | 31 | 0 0 3 |
| 23.1 | 3.845 | 61 | 1 0 0 |
| 32.8 | 2.728 | 100 | 1 0 3 |
| 32.9 | 2.719 | 50 | 1 1 0 |
| 40.5 | 2.225 | 28 | 1 1 3 |
| 47.3 | 1.923 | 18 | 2 0 0 |
| 53.2 | 1.721 | 26 | 2 1 0 |
| 58.8 | 1.572 | 37 | 2 1 3 |

Cell and atoms:
```
data_LaTb2Mg3
_space_group_name_H-M_alt 'P 4/m m m'
_space_group_IT_number 123
_space_group_name_Hall '-P 4 2'
_cell_length_a 3.8454
_cell_length_b 3.8454
_cell_length_c 11.6128
_cell_angle_alpha 90.00
_cell_angle_beta 90.00
_cell_angle_gamma 90.00
loop_
_atom_site_label
_atom_site_fract_x
_atom_site_fract_y
_atom_site_fract_z
La1 0.0000 0.0000 0.0000
Tb1 0.0000 0.0000 0.3396
Mg1 0.5000 0.5000 0.1800
Mg2 0.5000 0.5000 0.5000
```

No. 11
Starting from a cell relaxed with PBE, the PXRD pattern of La4Tb2YMg was computed for Cu Ka.
Intensities are scaled so that the largest is 100.

Largest 8 diffraction maxima, sorted by position, 10° ≤ 2θ ≤ 90°:
| 2θ (°) | d [Å] | Rel. int. | h k l |
| --- | --- | --- | --- |
| 30.2 | 2.956 | 100 | 1 1 2 |
| 34.6 | 2.591 | 35 | 2 0 0 |
| 35.9 | 2.501 | 16 | 0 0 4 |
| 49.8 | 1.832 | 12 | 2 2 0 |
| 50.7 | 1.799 | 23 | 2 0 4 |
| 59.4 | 1.557 | 29 | 3 1 2 |
| 61.1 | 1.518 | 13 | 1 1 6 |
| 62.9 | 1.478 | 12 | 2 2 4 |

Cell and atoms:
```
data_La4Tb2YMg
_space_group_name_H-M_alt 'P 4/m m m'
_space_group_IT_number 123
_space_group_name_Hall '-P 4 2'
_cell_length_a 5.1812
_cell_length_b 5.1812
_cell_length_c 10.0043
_cell_angle_alpha 90.00
_cell_angle_beta 90.00
_cell_angle_gamma 90.00
loop_
_atom_site_label
_atom_site_fract_x
_atom_site_fract_y
_atom_site_fract_z
La1 0.0000 0.5000 0.2446
Tb1 0.0000 0.0000 0.0000
Tb2 0.5000 0.5000 0.5000
Y1 0.0000 0.0000 0.5000
Mg1 0.5000 0.5000 0.0000
```

No. 12
Starting from a cell relaxed with PBE, the PXRD pattern of La3MgTc was computed for Cu Ka.
Intensities are scaled so that the largest is 100.

Largest 8 diffraction maxima, sorted by position, 10° ≤ 2θ ≤ 90°:
| 2θ (°) | d [Å] | Rel. int. | h k l |
| --- | --- | --- | --- |
| 10.7 | 8.237 | 96 | 0 0 2 |
| 29.0 | 3.075 | 83 | 1 3 1 |
| 31.3 | 2.858 | 72 | 1 1 5 |
| 32.9 | 2.719 | 58 | 1 3 3 |
| 33.0 | 2.711 | 94 | 2 2 2 |
| 34.1 | 2.632 | 63 | 2 0 4 |
| 38.2 | 2.355 | 100 | 2 2 4 |
| 53.2 | 1.721 | 51 | 1 5 5 |

Cell and atoms:
```
data_La3MgTc
_space_group_name_H-M_alt 'F m m m'
_space_group_IT_number 69
_space_group_name_Hall '-F 2 2'
_cell_length_a 6.8427
_cell_length_b 10.5588
_cell_length_c 16.4735
_cell_angle_alpha 90.00
_cell_angle_beta 90.00
_cell_angle_gamma 90.00
loop_
_atom_site_label
_atom_site_fract_x
_atom_site_fract_y
_atom_site_fract_z
La1 0.0000 0.0000 0.2041
La2 0.0000 0.1991 0.3876
Mg1 0.2074 0.0000 0.0000
Tc1 0.2500 0.2500 0.2500
```

Please write out number 12 again, unchanged.
Starting from a cell relaxed with PBE, the PXRD pattern of La3MgTc was computed for Cu Ka.
Intensities are scaled so that the largest is 100.

Largest 8 diffraction maxima, sorted by position, 10° ≤ 2θ ≤ 90°:
| 2θ (°) | d [Å] | Rel. int. | h k l |
| --- | --- | --- | --- |
| 10.7 | 8.237 | 96 | 0 0 2 |
| 29.0 | 3.075 | 83 | 1 3 1 |
| 31.3 | 2.858 | 72 | 1 1 5 |
| 32.9 | 2.719 | 58 | 1 3 3 |
| 33.0 | 2.711 | 94 | 2 2 2 |
| 34.1 | 2.632 | 63 | 2 0 4 |
| 38.2 | 2.355 | 100 | 2 2 4 |
| 53.2 | 1.721 | 51 | 1 5 5 |

Cell and atoms:
```
data_La3MgTc
_space_group_name_H-M_alt 'F m m m'
_space_group_IT_number 69
_space_group_name_Hall '-F 2 2'
_cell_length_a 6.8427
_cell_length_b 10.5588
_cell_length_c 16.4735
_cell_angle_alpha 90.00
_cell_angle_beta 90.00
_cell_angle_gamma 90.00
loop_
_atom_site_label
_atom_site_fract_x
_atom_site_fract_y
_atom_site_fract_z
La1 0.0000 0.0000 0.2041
La2 0.0000 0.1991 0.3876
Mg1 0.2074 0.0000 0.0000
Tc1 0.2500 0.2500 0.2500
```